This entry pairs a crystal structure of SrLiTa2O7 with its calculated powder X-ray diffraction pattern. Radiation: Cu Kα, 1.54184 Å. Structure: a cell relaxed with GGA-PBE.
No peak broadening, texture or thermal motion is included.

Main lines, by angle (15° ≤ 2θ ≤ 90°):
2θ = 17.9°, I 342
2θ = 23.0°, I 455
2θ = 26.3°, I 657
2θ = 32.1°, I 1000
2θ = 46.1°, I 262
2θ = 49.3°, I 201
2θ = 53.8°, I 182
2θ = 57.2°, I 244

Atomic structure:
```
data_SrLiTa2O7
_chemical_formula_sum 'Sr2 Li2 Ta4 O14'
_symmetry_space_group_name_H-M 'I -4 m 2'
_symmetry_Int_Tables_number 119
_symmetry_space_group_name_Hall 'I -4 -2'
_cell_length_a 3.941
_cell_length_b 3.941
_cell_length_c 19.771
_cell_angle_alpha 90.00
_cell_angle_beta 90.00
_cell_angle_gamma 90.00
loop_
_atom_site_label
_atom_site_type_symbol
_atom_site_fract_x
_atom_site_fract_y
_atom_site_fract_z
Sr1 Sr 0.000 0.000 0.000
Li1 Li 0.000 0.500 0.250
Ta1 Ta 0.000 0.000 0.386
O1 O 0.000 0.000 0.294
O2 O 0.000 0.000 0.500
O3 O 0.000 0.500 0.097
O4 O 0.000 0.500 0.596
```